For PmNd7Y4, a DFT-relaxed cell (PBE, Alexandria) gives the calculated powder diffraction line list in this record (Cu Kα X-rays).
Kinematic intensities with the Lorentz-polarization factor, no thermal factor.

Peak list (10 most intense, 2θ = 5–70°, sorted by position)
two_theta  d_spacing  I (rel.)
28.3  3.158  42.8
30.5  2.934  48.9
31.2  2.865  100.0
32.9  2.724  89.2
39.3  2.290  16.9
49.6  1.836  37.3
53.5  1.712  21.5
56.7  1.622  18.7
59.4  1.557  43.4
59.8  1.546  15.5

Structure:
Cell: 6.3643 7.3414 9.0522 Å, 89.97 76.47 89.93°
Space group P-1 (No. 2)
Symmetry-distinct sites (fractional):
Pm (0.0000, 0.0000, 0.0000)
Nd (0.0000, 0.5000, 0.0000)
Nd (0.2218, 0.0002, 0.3339)
Nd (0.2785, 0.2498, 0.6654)
Nd (0.4994, 0.2523, 0.0009)
Y (0.2202, 0.5001, 0.3349)
Y (0.2786, 0.7468, 0.6664)